1.
The following is a calculated PXRD pattern of HfPaZnMo. It was derived from a cell relaxed with GGA-PBE, using copper Kα.

Lattice parameters (Å, degrees): 6.8349 6.8349 6.8349 90.00 90.00 90.00
Fractional coordinates of all 16 atoms:
Hf 0.0000 0.0000 0.0000
Hf 0.0000 0.5000 0.5000
Hf 0.5000 0.0000 0.5000
Hf 0.5000 0.5000 0.0000
Pa 0.0000 0.0000 0.5000
Pa 0.0000 0.5000 0.0000
Pa 0.5000 0.0000 0.0000
Pa 0.5000 0.5000 0.5000
Zn 0.2500 0.2500 0.7500
Zn 0.2500 0.7500 0.2500
Zn 0.7500 0.2500 0.2500
Zn 0.7500 0.7500 0.7500
Mo 0.2500 0.2500 0.2500
Mo 0.2500 0.7500 0.7500
Mo 0.7500 0.2500 0.7500
Mo 0.7500 0.7500 0.2500

The 10 most intense peaks (10 to 90 degrees two-theta), low angle first:
- 22.5°, intensity 2
- 26.1°, intensity 20
- 37.2°, intensity 100
- 43.9°, intensity 1
- 46.0°, intensity 6
- 53.6°, intensity 17
- 60.6°, intensity 9
- 67.1°, intensity 36
- 79.3°, intensity 11
- 85.2°, intensity 4

---

2.
The following is a calculated PXRD pattern of Hf8MoPb2. It was derived from a cell relaxed with GGA-PBE, using copper Kα.

Lattice parameters (Å, degrees): 8.3480 8.3480 8.3480 144.78 132.44 60.54
Fractional coordinates of all 11 atoms:
Hf 0.1302 0.3660 0.7641
Hf 0.1721 0.1721 0.0000
Hf 0.2541 0.0000 0.2541
Hf 0.3981 0.6340 0.7641
Hf 0.6019 0.3660 0.2359
Hf 0.7459 0.0000 0.7459
Hf 0.8279 0.8279 0.0000
Hf 0.8698 0.6340 0.2359
Mo 0.0000 0.5000 0.5000
Pb 0.3126 0.8126 0.5000
Pb 0.6874 0.1874 0.5000

The 10 most intense peaks (10 to 90 degrees two-theta), low angle first:
- 29.3°, intensity 13
- 35.5°, intensity 34
- 35.9°, intensity 26
- 37.2°, intensity 100
- 37.4°, intensity 14
- 52.6°, intensity 11
- 58.0°, intensity 11
- 64.9°, intensity 20
- 66.8°, intensity 11
- 69.9°, intensity 13

---

3.
The following is a calculated PXRD pattern of HfMoPb. It was derived from a cell relaxed with GGA-PBE, using copper Kα.

Lattice parameters (Å, degrees): 6.7846 5.2045 5.7616 76.25 48.17 55.58
Fractional coordinates of all 6 atoms:
Hf 0.0000 0.0000 0.0000
Hf 0.2500 0.2500 0.2500
Mo 0.3170 0.3170 0.6830
Mo 0.5670 0.5670 0.9330
Pb 0.6549 0.6549 0.3451
Pb 0.9049 0.9049 0.5951

The 10 most intense peaks (10 to 90 degrees two-theta), low angle first:
- 35.2°, intensity 53
- 35.6°, intensity 100
- 38.0°, intensity 85
- 43.8°, intensity 56
- 57.4°, intensity 25
- 61.4°, intensity 21
- 65.0°, intensity 18
- 65.3°, intensity 17
- 67.2°, intensity 16
- 83.4°, intensity 17

---

4.
The following is a calculated PXRD pattern of HfMoPb. It was derived from a cell relaxed with GGA-PBE, using copper Kα.

Lattice parameters (Å, degrees): 4.7170 3.5555 7.4809 90.00 102.08 90.00
Fractional coordinates of all 6 atoms:
Hf 0.0000 0.0000 0.0000
Hf 0.3556 0.0000 0.6368
Mo 0.2368 0.5000 0.3310
Mo 0.8771 0.5000 0.6891
Pb 0.4783 0.5000 0.9676
Pb 0.7570 0.0000 0.3669

The 10 most intense peaks (10 to 90 degrees two-theta), low angle first:
- 35.6°, intensity 100
- 36.9°, intensity 42
- 37.7°, intensity 97
- 38.4°, intensity 41
- 51.4°, intensity 21
- 57.4°, intensity 13
- 64.9°, intensity 20
- 65.9°, intensity 17
- 66.2°, intensity 13
- 70.4°, intensity 19